1.
Starting from DFT lattice parameters and positions (PBE), the powder diffraction line list of Sm2Fe2B2CN was calculated for Cu Ka.
Kinematic intensities with the Lorentz-polarization factor, no thermal factor.

Structure:
abc: 3.5701 3.5701 7.8674
angles: 90.00 90.00 90.00
Space group P4mm (No. 99)
Asymmetric unit:
Sm (0.0000, 0.0000, 0.0000) [1 per cell]
Sm (0.5000, 0.5000, 0.3323) [1 per cell]
Fe (0.0000, 0.5000, 0.6591) [2 per cell]
B (0.0000, 0.0000, 0.4977) [1 per cell]
B (0.5000, 0.5000, 0.8210) [1 per cell]
C (0.5000, 0.5000, 0.0121) [1 per cell]
N (0.0000, 0.0000, 0.3121) [1 per cell]

Principal peaks in the range 2θ = 10–80°, by angle:
two_theta  Rel. int.  (hkl)
27.4  100  1 0 1
33.9  74  1 0 2
34.2  51  0 0 3
37.4  67  1 1 1
42.6  48  1 1 2
51.2  36  2 0 0
59.0  26  2 1 1
63.0  33  2 0 3

2.
Starting from DFT lattice parameters and positions (PBE), the powder diffraction line list of Y3Fe4B4C3 was calculated for Cu Ka.
Kinematic intensities with the Lorentz-polarization factor, no thermal factor.

Structure:
abc: 3.5095 3.5095 26.8945
angles: 90.00 90.00 90.00
Space group I4/mmm (No. 139)
Asymmetric unit:
Y (0.0000, 0.0000, 0.0000) [2 per cell]
Y (0.0000, 0.0000, 0.2976) [4 per cell]
Fe (0.0000, 0.5000, 0.1018) [8 per cell]
B (0.0000, 0.0000, 0.1506) [4 per cell]
B (0.0000, 0.0000, 0.4447) [4 per cell]
C (0.0000, 0.0000, 0.2062) [4 per cell]
C (0.0000, 0.0000, 0.5000) [2 per cell]

Principal peaks in the range 2θ = 10–80°, by angle:
two_theta  Rel. int.  (hkl)
27.3  62  1 0 3
33.3  73  0 0 10
34.6  62  1 0 7
38.7  100  1 1 4
41.6  66  1 1 6
52.1  48  2 0 0
61.0  33  1 1 14
63.3  41  2 0 10

3.
Starting from DFT lattice parameters and positions (PBE), the powder diffraction line list of NdGdB2Ir2C2 was calculated for Cu Ka.
Kinematic intensities with the Lorentz-polarization factor, no thermal factor.

Structure:
abc: 3.7871 3.7871 7.8691
angles: 90.00 90.00 90.00
Space group P4mm (No. 99)
Asymmetric unit:
Nd (0.0000, 0.0000, 0.0000) [1 per cell]
Gd (0.5000, 0.5000, 0.6704) [1 per cell]
B (0.0000, 0.0000, 0.4883) [1 per cell]
B (0.5000, 0.5000, 0.1791) [1 per cell]
Ir (0.0000, 0.5000, 0.3357) [2 per cell]
C (0.0000, 0.0000, 0.6811) [1 per cell]
C (0.5000, 0.5000, 0.9848) [1 per cell]

Principal peaks in the range 2θ = 10–80°, by angle:
two_theta  Rel. int.  (hkl)
11.2  63  0 0 1
26.1  39  1 0 1
32.8  29  1 0 2
34.2  45  0 0 3
35.4  100  1 1 1
40.8  68  1 1 2
48.0  38  2 0 0
60.3  35  2 0 3

4.
Starting from DFT lattice parameters and positions (PBE), the powder diffraction line list of GdYB3C2 was calculated for Cu Ka.
Kinematic intensities with the Lorentz-polarization factor, no thermal factor.

Structure:
abc: 3.6840 3.4022 13.7137
angles: 90.00 90.00 90.00
Space group Amm2 (No. 38)
Asymmetric unit:
Gd (0.0000, 0.0000, 0.0000) [2 per cell]
Y (0.0000, 0.0000, 0.7285) [2 per cell]
B (0.5000, 0.0000, 0.1474) [2 per cell]
B (0.5000, 0.0000, 0.3646) [2 per cell]
B (0.5000, 0.0000, 0.5819) [2 per cell]
C (0.5000, 0.0000, 0.2596) [2 per cell]
C (0.5000, 0.0000, 0.4697) [2 per cell]

Principal peaks in the range 2θ = 10–80°, by angle:
two_theta  Rel. int.  (hkl)
12.9  40  0 0 2
24.2  72  1 0 0
26.0  90  0 0 4
27.0  56  0 1 1
32.8  69  0 1 3
35.8  78  1 0 4
36.5  100  1 1 1
41.2  88  1 1 3